# Nb2ZnAs
Theoretical powder XRD pattern, Cu Kα. Input: a DFT-relaxed cell (PBE, OQMD).
Lines closer than 0.1° are merged.

Peak list (6 most intense, 2θ = 15–90°, sorted by position)
2θ (°)	I_rel
23.78	2
39.33	100
46.48	1
56.84	17
71.31	33
84.60	10

Cell and atoms:
Unit cell a=4.582 b=4.582 c=4.582 alpha=60.00 beta=60.00 gamma=60.00
Fractional positions:
Nb  0.000  0.000  0.000
Nb  0.250  0.250  0.250
Zn  0.750  0.750  0.750
As  0.500  0.500  0.500

***

# Nd2Ni12As7
Theoretical powder XRD pattern, Cu Kα. Input: a DFT-relaxed cell (PBE, OQMD).
Lines closer than 0.1° are merged.

Peak list (10 most intense, 2θ = 15–90°, sorted by position)
2θ (°)	I_rel
31.82	14
33.01	14
37.26	100
40.54	10
44.52	11
46.51	22
46.71	28
51.44	22
54.51	19
72.00	16

Cell and atoms:
Unit cell a=9.400 b=9.400 c=3.890 alpha=90.00 beta=90.00 gamma=120.00
Fractional positions:
Nd  0.000  0.000  0.000
Nd  0.333  0.667  0.500
Ni  0.044  0.758  0.500
Ni  0.103  0.389  0.000
Ni  0.242  0.286  0.500
Ni  0.286  0.897  0.000
Ni  0.388  0.204  0.000
Ni  0.554  0.124  0.500
Ni  0.570  0.446  0.500
Ni  0.611  0.714  0.000
Ni  0.714  0.956  0.500
Ni  0.796  0.184  0.000
Ni  0.816  0.612  0.000
Ni  0.876  0.430  0.500
As  0.067  0.622  0.000
As  0.265  0.036  0.500
As  0.378  0.446  0.000
As  0.554  0.933  0.000
As  0.667  0.333  0.000
As  0.771  0.735  0.500
As  0.964  0.229  0.500

***

# PrNdAs2Os2O2
Theoretical powder XRD pattern, Cu Kα. Input: a DFT-relaxed cell (PBE, OQMD).
Lines closer than 0.1° are merged.

Peak list (10 most intense, 2θ = 15–90°, sorted by position)
2θ (°)	I_rel
21.38	28
30.54	100
32.31	23
32.55	92
37.69	89
43.92	75
54.21	66
54.44	39
63.85	24
88.54	34

Cell and atoms:
Unit cell a=4.123 b=4.123 c=8.311 alpha=90.00 beta=90.00 gamma=90.00
Fractional positions:
Pr  0.000  0.000  0.000
Nd  0.500  0.500  0.278
As  0.000  0.000  0.477
As  0.500  0.500  0.801
Os  0.000  0.500  0.639
Os  0.500  0.000  0.639
O  0.000  0.500  0.141
O  0.500  0.000  0.141

***

# RbNdAsO
Theoretical powder XRD pattern, Cu Kα. Input: a DFT-relaxed cell (PBE, OQMD).
Lines closer than 0.1° are merged.

Peak list (10 most intense, 2θ = 15–90°, sorted by position)
2θ (°)	I_rel
15.36	36
24.33	85
24.45	71
27.06	100
29.25	42
31.00	37
33.25	56
34.91	66
43.04	49
47.51	51

Cell and atoms:
Unit cell a=3.599 b=8.194 c=8.127 alpha=90.00 beta=90.00 gamma=90.00
Fractional positions:
Rb  0.000  0.049  0.000
Rb  0.000  0.951  0.500
Nd  0.500  0.373  0.357
Nd  0.500  0.627  0.857
As  0.500  0.292  0.716
As  0.500  0.708  0.216
O  0.000  0.243  0.280
O  0.000  0.757  0.780

***

# Sr2Nd2SbAsO
Theoretical powder XRD pattern, Cu Kα. Input: a DFT-relaxed cell (PBE, OQMD).
Lines closer than 0.1° are merged.

Peak list (10 most intense, 2θ = 15–90°, sorted by position)
2θ (°)	I_rel
28.52	96
30.51	31
31.70	30
33.65	100
38.00	64
49.49	32
50.29	16
54.83	22
62.96	21
65.89	28

Cell and atoms:
Unit cell a=9.405 b=9.405 c=9.405 alpha=150.83 beta=150.83 gamma=41.72
Fractional positions:
Sr  0.000  0.000  0.000
Sr  0.357  0.357  0.000
Nd  0.191  0.691  0.500
Nd  0.691  0.191  0.500
Sb  0.555  0.555  0.000
As  0.819  0.819  0.000
O  0.213  0.213  0.000

***

# NdSbAsPd2
Theoretical powder XRD pattern, Cu Kα. Input: a DFT-relaxed cell (PBE, OQMD).
Lines closer than 0.1° are merged.

Peak list (10 most intense, 2θ = 15–90°, sorted by position)
2θ (°)	I_rel
27.57	27
32.87	100
33.02	89
39.38	93
45.55	27
49.29	22
52.31	48
56.91	31
64.84	19
67.33	36

Cell and atoms:
Unit cell a=4.576 b=4.576 c=10.106 alpha=90.00 beta=90.00 gamma=90.00
Fractional positions:
Nd  0.250  0.250  0.237
Nd  0.750  0.750  0.763
Sb  0.250  0.250  0.636
Sb  0.750  0.750  0.364
As  0.250  0.750  0.000
As  0.750  0.250  0.000
Pd  0.250  0.250  0.893
Pd  0.250  0.750  0.500
Pd  0.750  0.250  0.500
Pd  0.750  0.750  0.107